1.
This entry pairs a crystal structure of Cs2TlNi2F7 with its simulated powder diffractogram. Radiation: a wavelength of 1.5418 Å. Structure: a cell relaxed with GGA+U.
No peak broadening, texture or thermal motion is included.

Cell and atoms:
```
data_Cs2TlNi2F7
_chemical_formula_sum 'Cs4 Tl2 Ni4 F14'
_cell_length_a 4.2126
_cell_length_b 4.2126
_cell_length_c 23.1151
_cell_angle_alpha 90.00
_cell_angle_beta 90.00
_cell_angle_gamma 90.00
_symmetry_space_group_name_H-M 'I 4/m m m'
_symmetry_Int_Tables_number 139
_symmetry_space_group_name_Hall '-I 4 2'
loop_
_atom_site_label
_atom_site_type_symbol
_atom_site_fract_x
_atom_site_fract_y
_atom_site_fract_z
_atom_site_occupancy
Cs1 Cs 0.0000 0.0000 0.1845 1
Tl1 Tl 0.0000 0.0000 0.0000 1
Ni1 Ni 0.0000 0.0000 0.4112 1
F1 F 0.0000 0.0000 0.3241 1
F2 F 0.0000 0.0000 0.5000 1
F3 F 0.0000 0.5000 0.0894 1
```

Most intense lines, 2θ = 10–90°, low angle first:
(hkl)  d [Å]  Position (°2θ)  intensity
1 0 1  4.144  21.4  18
1 0 5  3.114  28.7  100
1 1 0  2.979  30.0  57
1 1 6  2.356  38.2  30
2 0 0  2.106  42.9  34
1 1 10  1.826  49.9  14
2 1 5  1.745  52.4  38
2 0 10  1.557  59.4  13

2.
This entry pairs a crystal structure of NaMnO2 with its simulated powder diffractogram. Radiation: a wavelength of 1.5418 Å. Structure: a cell relaxed with GGA+U.
No peak broadening, texture or thermal motion is included.

Cell and atoms:
```
data_NaMnO2
_chemical_formula_sum 'Na2 Mn2 O4'
_cell_length_a 2.9218
_cell_length_b 4.8547
_cell_length_c 6.4094
_cell_angle_alpha 90.00
_cell_angle_beta 90.00
_cell_angle_gamma 90.00
_symmetry_space_group_name_H-M 'P m m n'
_symmetry_Int_Tables_number 59
loop_
_symmetry_equiv_pos_as_xyz
'x,y,z'
'-x,-y,-z'
'-x+1/2,-y+1/2,z'
'x+1/2,y+1/2,-z'
'x+1/2,-y,-z'
'-x+1/2,y,z'
'-x,y+1/2,-z'
'x,-y+1/2,z'
loop_
_atom_site_label
_atom_site_type_symbol
_atom_site_fract_x
_atom_site_fract_y
_atom_site_fract_z
_atom_site_occupancy
Na1 Na 0.2500 0.2500 0.1238 1
Mn1 Mn 0.2500 0.2500 0.6252 1
O1 O 0.2500 0.7500 0.1709 1
O2 O 0.2500 0.7500 0.5820 1
```

Most intense lines, 2θ = 10–90°, low angle first:
(hkl)  d [Å]  Position (°2θ)  intensity
0 0 1  6.409  13.8  66
0 1 1  3.870  23.0  39
0 1 2  2.675  33.5  45
1 1 0  2.503  35.9  31
0 2 0  2.427  37.0  80
1 0 2  2.159  41.8  100
1 2 2  1.613  57.1  70
1 1 4  1.350  69.7  15